# Gd2GeB2O8
Calculated powder X-ray diffraction pattern, Cu Kα (weighted mean of Kα1 and Kα2). Input: a DFT-relaxed cell (GGA-PBE, OQMD).
Intensities are scaled so that the largest is 100.

Top 10 peaks for 10° ≤ 2θ ≤ 80°, in order of rising 2θ:
two_theta, I/Imax, h k l
19.19, 30, 0 0 2
28.41, 58, 3 1 0
28.80, 100, 1 1 2
32.88, 57, 4 0 2
34.52, 26, 3 1 2
38.95, 27, 0 0 4
46.38, 16, 2 1 4
48.91, 26, 3 1 4
53.60, 23, 4 2 2
55.78, 31, 7 1 2

```
Gd2GeB2O8
1.0
13.482 0.000 0.000
0.000 4.393 0.000
0.000 0.000 9.249
Gd Ge B O
8 4 8 32
direct
0.140 0.040 0.025 Gd
0.140 0.960 0.525 Gd
0.360 0.460 0.525 Gd
0.360 0.540 0.025 Gd
0.640 0.460 0.975 Gd
0.640 0.540 0.475 Gd
0.860 0.040 0.475 Gd
0.860 0.960 0.975 Gd
0.000 0.428 0.750 Ge
0.000 0.572 0.250 Ge
0.500 0.072 0.250 Ge
0.500 0.928 0.750 Ge
0.200 0.469 0.297 B
0.200 0.531 0.797 B
0.300 0.031 0.797 B
0.300 0.969 0.297 B
0.700 0.031 0.703 B
0.700 0.969 0.203 B
0.800 0.469 0.203 B
0.800 0.531 0.703 B
0.004 0.205 0.904 O
0.004 0.795 0.404 O
0.107 0.335 0.233 O
0.107 0.665 0.733 O
0.192 0.462 0.453 O
0.192 0.538 0.953 O
0.214 0.214 0.742 O
0.214 0.786 0.242 O
0.286 0.286 0.242 O
0.286 0.714 0.742 O
0.308 0.038 0.953 O
0.308 0.962 0.453 O
0.393 0.165 0.733 O
0.393 0.835 0.233 O
0.496 0.295 0.404 O
0.496 0.705 0.904 O
0.504 0.295 0.096 O
0.504 0.705 0.596 O
0.607 0.165 0.767 O
0.607 0.835 0.267 O
0.692 0.038 0.547 O
0.692 0.962 0.047 O
0.714 0.286 0.258 O
0.714 0.714 0.758 O
0.786 0.214 0.758 O
0.786 0.786 0.258 O
0.808 0.462 0.047 O
0.808 0.538 0.547 O
0.893 0.335 0.267 O
0.893 0.665 0.767 O
0.996 0.205 0.596 O
0.996 0.795 0.096 O
```